No. 1
# Tb2Th2As5
Simulated X-ray powder pattern, Cu Kα X-rays. Input: the PBE geometry in Alexandria.

Main lines, in order of rising 2θ (10° ≤ 2θ ≤ 90°):
d/Å, I_rel
3.672, 59
3.454, 66
3.157, 31
2.851, 58
2.765, 50
2.600, 48
2.535, 47
2.455, 28
2.439, 100
1.894, 79

Cell and atoms:
```
data_Tb2Th2As5
_cell_length_a 14.7276
_cell_length_b 7.8097
_cell_length_c 7.8337
_cell_angle_alpha 90.00
_cell_angle_beta 90.00
_cell_angle_gamma 90.00
_space_group_name_H-M_alt 'C m c e'
_space_group_IT_number 64
_space_group_name_Hall '-C 2ac 2'
loop_
_atom_site_label
_atom_site_type_symbol
_atom_site_fract_x
_atom_site_fract_y
_atom_site_fract_z
_atom_site_occupancy
Tb1 Tb 0.0000 0.1559 0.1589 1
Th1 Th 0.1944 0.0000 0.5000 1
As1 As 0.0000 0.0000 0.5000 1
As2 As 0.1375 0.1544 0.8482 1
```

---

No. 2
# Er6MgPd
Simulated X-ray powder pattern, Cu Kα X-rays. Input: the PBE geometry in Alexandria.

Main lines, in order of rising 2θ (10° ≤ 2θ ≤ 90°):
d/Å, I_rel
5.773, 16
3.538, 18
3.013, 100
3.007, 49
2.887, 15
2.867, 25
2.231, 15
2.226, 24
2.043, 31
1.682, 25

Cell and atoms:
```
data_Er6MgPd
_cell_length_a 7.0334
_cell_length_b 7.0429
_cell_length_c 7.0461
_cell_angle_alpha 60.28
_cell_angle_beta 60.30
_cell_angle_gamma 60.43
_space_group_name_H-M_alt 'P -1'
_space_group_IT_number 2
loop_
_space_group_symop_operation_xyz
'x,y,z'
'-x,-y,-z'
loop_
_atom_site_label
_atom_site_type_symbol
_atom_site_fract_x
_atom_site_fract_y
_atom_site_fract_z
_atom_site_occupancy
Er1 Er 0.0263 0.2809 0.4362 1
Er2 Er 0.2195 0.0639 0.9735 1
Er3 Er 0.4379 0.5252 0.7802 1
Mg1 Mg 0.5000 0.0000 0.5000 1
Pd1 Pd 0.0000 0.5000 0.0000 1
```